Diffraction record for La3NdCr4O12. The powder XRD pattern is simulated, not measured: it uses a PBE+U-relaxed structure and λ = 1.5418 Å (Cu Kα).
No peak broadening, texture or thermal motion is included.

Crystal structure
Lattice parameters (Å, degrees): 5.5738 7.8729 5.5751 90.00 90.06 90.00
Space group Pm (No. 6)
Unique sites:
La1 0.0000 0.0000 0.0000 (multiplicity 1)
La2 0.0156 0.5000 0.0589 (multiplicity 1)
La3 0.5152 0.0000 0.5013 (multiplicity 1)
Nd1 0.4976 0.5000 0.5662 (multiplicity 1)
Cr1 0.0080 0.2510 0.5292 (multiplicity 2)
Cr2 0.5083 0.2506 0.0303 (multiplicity 2)
O1 0.0879 0.0000 0.5436 (multiplicity 1)
O2 0.2288 0.2960 0.8094 (multiplicity 2)
O3 0.2929 0.2964 0.3143 (multiplicity 2)
O4 0.4276 0.0000 0.0438 (multiplicity 1)
O5 0.5885 0.5000 0.0096 (multiplicity 1)
O6 0.7257 0.2080 0.7466 (multiplicity 2)
O7 0.7917 0.2069 0.2459 (multiplicity 2)
O8 0.9205 0.5000 0.5151 (multiplicity 1)

Most intense lines, 10 to 90 degrees two-theta, in order of rising 2θ:
hkl 0 2 0, 3.940 Å, 22.57 deg, rel. 18.8; hkl 1 2 1, 2.786 Å, 32.13 deg, rel. 100.0; hkl 2 2 0, 2.275 Å, 39.62 deg, rel. 17.2; hkl 0 4 0, 1.970 Å, 46.08 deg, rel. 28.4; hkl 3 0 1, 1.762 Å, 51.90 deg, rel. 7.9; hkl 3 2 1, 1.608 Å, 57.28 deg, rel. 39.8; hkl 4 0 0, 1.393 Å, 67.21 deg, rel. 14.3; hkl 4 0 2, 1.247 Å, 76.40 deg, rel. 6.0; hkl 1 6 1, 1.245 Å, 76.50 deg, rel. 7.7; hkl 4 4 0, 1.137 Å, 85.35 deg, rel. 4.2



Diffraction record for LaCrNiO6. The powder XRD pattern is simulated, not measured: it uses a PBE+U-relaxed structure and λ = 1.5418 Å (Cu Kα).
No peak broadening, texture or thermal motion is included.

Crystal structure
Lattice parameters (Å, degrees): 5.1441 5.3310 5.5158 117.26 90.95 118.58
Space group P1 (No. 1)
Unique sites:
La1 0.0000 0.0000 0.0000 (multiplicity 1)
Cr1 0.7562 0.5348 0.2875 (multiplicity 1)
Ni1 0.2396 0.4852 0.7364 (multiplicity 1)
O1 0.0005 0.4524 0.4082 (multiplicity 1)
O2 0.4893 0.9735 0.9478 (multiplicity 1)
O3 0.4914 0.4816 0.0177 (multiplicity 1)
O4 0.4971 0.4306 0.4656 (multiplicity 1)
O5 0.9635 0.5185 0.9713 (multiplicity 1)
O6 0.9663 0.9629 0.4986 (multiplicity 1)

Most intense lines, 10 to 90 degrees two-theta, in order of rising 2θ:
hkl 0 0 1, 4.674 Å, 18.99 deg, rel. 41.0; hkl 0 1 -1, 4.383 Å, 20.26 deg, rel. 46.2; hkl 1 -1 0, 4.317 Å, 20.58 deg, rel. 100.0; hkl -1 1 1, 2.812 Å, 31.82 deg, rel. 37.1; hkl 1 0 1, 2.777 Å, 32.24 deg, rel. 37.8; hkl 0 1 -2, 2.751 Å, 32.55 deg, rel. 38.5; hkl 1 1 -1, 2.673 Å, 33.53 deg, rel. 34.2; hkl 1 -2 1, 2.660 Å, 33.69 deg, rel. 31.9; hkl 2 -1 0, 2.572 Å, 34.89 deg, rel. 31.8; hkl 0 2 0, 1.984 Å, 45.73 deg, rel. 30.9



Diffraction record for Sr4La4CrNi3O15. The powder XRD pattern is simulated, not measured: it uses a PBE+U-relaxed structure and λ = 1.5418 Å (Cu Kα).
No peak broadening, texture or thermal motion is included.

Crystal structure
Lattice parameters (Å, degrees): 3.8446 7.7044 12.7418 89.49 89.97 89.84
Space group P-1 (No. 2)
Unique sites:
Sr1 0.9998 0.2456 0.1399 (multiplicity 2)
Sr2 0.4987 0.0038 0.3492 (multiplicity 2)
La1 0.9998 0.2453 0.8626 (multiplicity 2)
La2 0.4943 0.4959 0.3576 (multiplicity 2)
Cr1 0.5000 0.5000 0.0000 (multiplicity 1)
Ni1 0.0010 0.2488 0.5020 (multiplicity 2)
Ni2 0.5000 0.0000 0.0000 (multiplicity 1)
O1 0.0000 0.0000 0.0000 (multiplicity 1)
O2 0.0000 0.5000 0.0000 (multiplicity 1)
O3 0.0000 0.5000 0.5000 (multiplicity 1)
O4 0.0041 0.7404 0.3233 (multiplicity 2)
O5 0.0045 0.2558 0.3332 (multiplicity 2)
O6 0.4983 0.5064 0.1694 (multiplicity 2)
O7 0.4985 0.7878 0.4962 (multiplicity 2)
O8 0.5000 0.0152 0.8393 (multiplicity 2)
O9 0.5003 0.2540 0.9963 (multiplicity 2)

Most intense lines, 10 to 90 degrees two-theta, in order of rising 2θ:
hkl 1 0 -1, 3.680 Å, 24.19 deg, rel. 15.3; hkl 0 2 3, 2.866 Å, 31.21 deg, rel. 37.2; hkl 1 0 3, 2.850 Å, 31.39 deg, rel. 67.1; hkl 0 2 -3, 2.841 Å, 31.49 deg, rel. 34.8; hkl 1 2 0, 2.721 Å, 32.92 deg, rel. 100.0; hkl 0 0 6, 2.124 Å, 42.57 deg, rel. 27.8; hkl -1 2 4, 2.075 Å, 43.61 deg, rel. 17.6; hkl 1 2 -4, 2.063 Å, 43.90 deg, rel. 17.2; hkl 2 0 0, 1.924 Å, 47.24 deg, rel. 48.7; hkl -2 2 3, 1.593 Å, 57.87 deg, rel. 23.6



Diffraction record for LaCrO3. The powder XRD pattern is simulated, not measured: it uses a PBE+U-relaxed structure and λ = 1.5418 Å (Cu Kα).
No peak broadening, texture or thermal motion is included.

Crystal structure
Lattice parameters (Å, degrees): 5.6124 5.6124 13.4217 90.00 90.00 120.00
Space group R-3c (No. 167, hexagonal axes)
Unique sites:
La1 0.0000 0.0000 0.2500 (multiplicity 6)
Cr1 0.0000 0.0000 0.0000 (multiplicity 6)
O1 0.0000 0.4270 0.2500 (multiplicity 18)

Most intense lines, 10 to 90 degrees two-theta, in order of rising 2θ:
hkl 0 1 2, 3.936 Å, 22.59 deg, rel. 35.4; hkl 1 1 0, 2.806 Å, 31.89 deg, rel. 96.7; hkl 1 0 4, 2.761 Å, 32.42 deg, rel. 100.0; hkl 2 0 2, 2.285 Å, 39.43 deg, rel. 26.3; hkl 0 2 4, 1.968 Å, 46.12 deg, rel. 58.7; hkl 3 0 0, 1.620 Å, 56.83 deg, rel. 24.3; hkl 2 1 4, 1.611 Å, 57.16 deg, rel. 40.7; hkl 0 1 8, 1.586 Å, 58.17 deg, rel. 18.4; hkl 2 0 8, 1.381 Å, 67.89 deg, rel. 16.8; hkl 1 2 8, 1.239 Å, 76.97 deg, rel. 16.6



Diffraction record for LaCrO3. The powder XRD pattern is simulated, not measured: it uses a PBE+U-relaxed structure and λ = 1.5418 Å (Cu Kα).
No peak broadening, texture or thermal motion is included.

Crystal structure
Lattice parameters (Å, degrees): 3.9272 3.9272 3.9272 90.00 90.00 90.00
Space group Pm-3m (No. 221)
Unique sites:
La1 0.0000 0.0000 0.0000 (multiplicity 1)
Cr1 0.5000 0.5000 0.5000 (multiplicity 1)
O1 0.0000 0.5000 0.5000 (multiplicity 3)

Most intense lines, 10 to 90 degrees two-theta, in order of rising 2θ:
hkl 1 0 0, 3.927 Å, 22.64 deg, rel. 16.1; hkl 1 1 0, 2.777 Å, 32.24 deg, rel. 100.0; hkl 1 1 1, 2.267 Å, 39.76 deg, rel. 21.5; hkl 2 0 0, 1.964 Å, 46.23 deg, rel. 33.1; hkl 2 1 0, 1.756 Å, 52.07 deg, rel. 8.7; hkl 2 1 1, 1.603 Å, 57.48 deg, rel. 37.9; hkl 2 2 0, 1.388 Å, 67.45 deg, rel. 19.3; hkl 3 1 0, 1.242 Å, 76.74 deg, rel. 16.0; hkl 3 1 1, 1.184 Å, 81.24 deg, rel. 7.0; hkl 2 2 2, 1.134 Å, 85.69 deg, rel. 6.4



Diffraction record for La2Cr2O5. The powder XRD pattern is simulated, not measured: it uses a PBE+U-relaxed structure and λ = 1.5418 Å (Cu Kα).
No peak broadening, texture or thermal motion is included.

Crystal structure
Lattice parameters (Å, degrees): 15.8904 5.7550 5.5575 90.00 90.00 90.00
Space group Ima2 (No. 46)
Unique sites:
La1 0.1173 0.0094 0.0000 (multiplicity 8)
Cr1 0.0000 0.0000 0.4939 (multiplicity 4)
Cr2 0.2500 0.5075 0.0069 (multiplicity 4)
O1 0.0220 0.7458 0.2475 (multiplicity 8)
O2 0.1252 0.0785 0.4794 (multiplicity 8)
O3 0.2500 0.6236 0.4057 (multiplicity 4)

Most intense lines, 10 to 90 degrees two-theta, in order of rising 2θ:
hkl 0 1 1, 3.998 Å, 22.24 deg, rel. 21.6; hkl 0 2 0, 2.878 Å, 31.08 deg, rel. 31.1; hkl 4 1 1, 2.818 Å, 31.75 deg, rel. 100.0; hkl 0 0 2, 2.779 Å, 32.21 deg, rel. 33.3; hkl 0 2 2, 1.999 Å, 45.37 deg, rel. 29.2; hkl 8 0 0, 1.986 Å, 45.68 deg, rel. 13.9; hkl 4 3 1, 1.650 Å, 55.72 deg, rel. 24.3; hkl 8 0 2, 1.616 Å, 56.99 deg, rel. 11.6; hkl 4 1 3, 1.612 Å, 57.15 deg, rel. 19.9; hkl 8 2 2, 1.409 Å, 66.34 deg, rel. 14.6



Diffraction record for LaCrO3. The powder XRD pattern is simulated, not measured: it uses a PBE+U-relaxed structure and λ = 1.5418 Å (Cu Kα).
No peak broadening, texture or thermal motion is included.

Crystal structure
Lattice parameters (Å, degrees): 5.6081 7.8792 5.5613 90.00 90.00 90.00
Space group Pnma (No. 62)
Unique sites:
La1 0.0375 0.2500 0.0081 (multiplicity 4)
Cr1 0.0000 0.0000 0.5000 (multiplicity 4)
O1 0.0185 0.7500 0.4204 (multiplicity 4)
O2 0.2125 0.5425 0.7878 (multiplicity 8)

Most intense lines, 10 to 90 degrees two-theta, in order of rising 2θ:
hkl 0 2 0, 3.945 Å, 22.54 deg, rel. 21.4; hkl 2 0 0, 2.804 Å, 31.92 deg, rel. 18.5; hkl 1 2 1, 2.787 Å, 32.11 deg, rel. 100.0; hkl 2 2 0, 2.284 Å, 39.44 deg, rel. 9.3; hkl 0 2 2, 2.272 Å, 39.67 deg, rel. 10.4; hkl 2 0 2, 1.974 Å, 45.97 deg, rel. 21.4; hkl 0 4 0, 1.970 Å, 46.08 deg, rel. 12.0; hkl 3 2 1, 1.616 Å, 56.99 deg, rel. 11.5; hkl 1 2 3, 1.607 Å, 57.33 deg, rel. 26.5; hkl 2 4 2, 1.394 Å, 67.12 deg, rel. 11.3



Diffraction record for La2Cr2O5. The powder XRD pattern is simulated, not measured: it uses a PBE+U-relaxed structure and λ = 1.5418 Å (Cu Kα).
No peak broadening, texture or thermal motion is included.

Crystal structure
Lattice parameters (Å, degrees): 15.7800 5.5762 5.5426 90.00 90.00 90.00
Space group Ima2 (No. 46)
Unique sites:
La1 0.1283 0.0180 0.0000 (multiplicity 8)
Cr1 0.0000 0.0000 0.4998 (multiplicity 4)
Cr2 0.2500 0.5419 0.9962 (multiplicity 4)
O1 0.0284 0.2487 0.7496 (multiplicity 8)
O2 0.1236 0.5925 0.0045 (multiplicity 8)
O3 0.2500 0.2407 0.7590 (multiplicity 4)

Most intense lines, 10 to 90 degrees two-theta, in order of rising 2θ:
hkl 4 0 0, 3.937 Å, 22.59 deg, rel. 23.8; hkl 4 1 1, 2.785 Å, 32.14 deg, rel. 100.0; hkl 0 0 2, 2.771 Å, 32.30 deg, rel. 22.0; hkl 4 0 2, 2.268 Å, 39.75 deg, rel. 10.6; hkl 8 0 0, 1.972 Å, 46.01 deg, rel. 11.1; hkl 0 2 2, 1.966 Å, 46.19 deg, rel. 21.6; hkl 8 2 0, 1.609 Å, 57.24 deg, rel. 23.4; hkl 8 0 2, 1.607 Å, 57.34 deg, rel. 9.2; hkl 4 1 3, 1.602 Å, 57.51 deg, rel. 16.2; hkl 8 2 2, 1.393 Å, 67.23 deg, rel. 13.6



Diffraction record for LaCrS2O. The powder XRD pattern is simulated, not measured: it uses a PBE+U-relaxed structure and λ = 1.5418 Å (Cu Kα).
No peak broadening, texture or thermal motion is included.

Crystal structure
Lattice parameters (Å, degrees): 8.5288 3.7574 11.2990 90.00 90.00 90.00
Space group Pnma (No. 62)
Unique sites:
La1 0.0462 0.2500 0.1478 (multiplicity 4)
Cr1 0.1697 0.2500 0.4715 (multiplicity 4)
S1 0.0972 0.7500 0.6018 (multiplicity 4)
S2 0.2425 0.7500 0.3309 (multiplicity 4)
O1 0.1127 0.7500 0.0364 (multiplicity 4)

Most intense lines, 10 to 90 degrees two-theta, in order of rising 2θ:
hkl 1 0 1, 6.807 Å, 13.01 deg, rel. 30.8; hkl 0 1 1, 3.565 Å, 24.97 deg, rel. 46.9; hkl 1 0 3, 3.445 Å, 25.86 deg, rel. 59.1; hkl 1 1 2, 2.937 Å, 30.43 deg, rel. 37.0; hkl 0 0 4, 2.822 Å, 31.70 deg, rel. 26.0; hkl 2 1 1, 2.735 Å, 32.74 deg, rel. 61.9; hkl 3 0 2, 2.539 Å, 35.35 deg, rel. 100.0; hkl 1 1 4, 2.183 Å, 41.37 deg, rel. 28.1; hkl 0 2 0, 1.879 Å, 48.45 deg, rel. 24.5; hkl 2 1 5, 1.763 Å, 51.86 deg, rel. 39.7



Diffraction record for LaZnCrSbO6. The powder XRD pattern is simulated, not measured: it uses a PBE+U-relaxed structure and λ = 1.5418 Å (Cu Kα).
No peak broadening, texture or thermal motion is included.

Crystal structure
Lattice parameters (Å, degrees): 5.5050 5.6982 9.6931 90.00 124.53 90.00
Space group Pc (No. 7)
Unique sites:
La1 0.0000 0.1977 0.0000 (multiplicity 2)
Zn1 0.5183 0.2611 0.4998 (multiplicity 2)
Cr1 0.7622 0.2596 0.2499 (multiplicity 2)
Sb1 0.2633 0.2656 0.7506 (multiplicity 2)
O1 0.0029 0.4530 0.1916 (multiplicity 2)
O2 0.1479 0.2188 0.4978 (multiplicity 2)
O3 0.4182 0.3088 0.0003 (multiplicity 2)
O4 0.5164 0.0658 0.3150 (multiplicity 2)
O5 0.6190 0.4547 0.8059 (multiplicity 2)
O6 0.8826 0.0615 0.6887 (multiplicity 2)

Most intense lines, 10 to 90 degrees two-theta, in order of rising 2θ:
hkl 1 0 -2, 4.532 Å, 19.59 deg, rel. 11.0; hkl 0 2 0, 2.849 Å, 31.40 deg, rel. 23.4; hkl 1 1 1, 2.811 Å, 31.83 deg, rel. 100.0; hkl 2 0 -2, 2.752 Å, 32.53 deg, rel. 22.1; hkl 0 0 4, 1.996 Å, 45.43 deg, rel. 13.4; hkl 2 2 -2, 1.980 Å, 45.84 deg, rel. 22.4; hkl 1 3 -3, 1.638 Å, 56.17 deg, rel. 15.7; hkl 2 0 2, 1.616 Å, 56.98 deg, rel. 11.2; hkl 3 1 -5, 1.600 Å, 57.60 deg, rel. 23.4; hkl 2 2 -6, 1.406 Å, 66.52 deg, rel. 11.8



Diffraction record for LaSmCr2O6. The powder XRD pattern is simulated, not measured: it uses a PBE+U-relaxed structure and λ = 1.5418 Å (Cu Kα).
No peak broadening, texture or thermal motion is included.

Crystal structure
Lattice parameters (Å, degrees): 7.8305 5.5014 5.5866 90.00 90.00 90.00
Space group Pmc2_1 (No. 26)
Unique sites:
La1 0.0000 0.2417 0.0000 (multiplicity 2)
Sm1 0.5000 0.2607 0.0889 (multiplicity 2)
Cr1 0.2541 0.2489 0.5386 (multiplicity 4)
O1 0.0000 0.3292 0.5555 (multiplicity 2)
O2 0.2098 0.0454 0.2433 (multiplicity 4)
O3 0.3033 0.4572 0.8305 (multiplicity 4)
O4 0.5000 0.1550 0.5090 (multiplicity 2)

Most intense lines, 10 to 90 degrees two-theta, in order of rising 2θ:
hkl 2 0 0, 3.918 Å, 22.69 deg, rel. 30.7; hkl 0 0 2, 2.793 Å, 32.04 deg, rel. 22.1; hkl 2 1 1, 2.770 Å, 32.32 deg, rel. 100.0; hkl 0 2 0, 2.751 Å, 32.55 deg, rel. 24.6; hkl 2 2 0, 2.251 Å, 40.06 deg, rel. 12.8; hkl 4 0 0, 1.959 Å, 46.35 deg, rel. 38.7; hkl 2 1 3, 1.608 Å, 57.29 deg, rel. 12.4; hkl 2 3 1, 1.592 Å, 57.93 deg, rel. 22.3; hkl 4 2 2, 1.385 Å, 67.64 deg, rel. 12.6; hkl 6 1 1, 1.239 Å, 76.98 deg, rel. 12.8